Structure and calculated powder XRD pattern of CsK2CdHg (DFT lattice parameters and positions (GGA-PBE); λ = 1.5418 Å (Cu Kα)).
Intensities are scaled so that the largest is 100.

Most intense lines, 10° ≤ 2θ ≤ 90°, most intense first:
2θ (°)  I (rel.)
18.89  100
26.84  94
36.98  80
13.33  76
31.49  59
24.96  56
18.25  56
46.28  42
38.33  36
50.41  32

```
CsK2CdHg
1.0
6.6425 0.0000 0.0000
0.0000 6.6425 0.0000
0.0000 0.0000 7.1361
Cs K Cd Hg
1 2 1 1
Cartesian
0.0000 0.0000 0.0000
0.0000 3.3213 3.5680
3.3213 0.0000 3.5680
3.3213 3.3213 0.0000
0.0000 0.0000 3.5680
```